Diffraction record for Sr2CaTi3O9. The XRD peak list is calculated, not measured: it uses a structure optimized by DFT (GGA-PBE) and CuKα.

Crystal structure
```
data_Sr2CaTi3O9
_chemical_formula_sum 'Sr8 Ca4 Ti12 O36'
_space_group_name_H-M_alt 'P 1'
_space_group_IT_number 1
_cell_length_a 5.555
_cell_length_b 9.595
_cell_length_c 13.599
_cell_angle_alpha 89.65
_cell_angle_beta 89.83
_cell_angle_gamma 89.88
loop_
_space_group_symop_operation_xyz
'x,y,z'
loop_
_atom_site_label
_atom_site_fract_x
_atom_site_fract_y
_atom_site_fract_z
_atom_site_occupancy
Sr1 0.000 0.000 0.000 1
Sr2 0.000 0.332 0.332 1
Sr3 0.014 0.668 0.168 1
Sr4 0.016 0.335 0.835 1
Sr5 0.017 0.001 0.502 1
Sr6 0.514 0.499 0.999 1
Sr7 0.514 0.833 0.331 1
Sr8 0.516 0.164 0.666 1
Ca1 0.003 0.666 0.667 1
Ca2 0.500 0.167 0.166 1
Ca3 0.500 0.499 0.500 1
Ca4 0.502 0.832 0.833 1
Ti1 0.010 0.002 0.251 1
Ti2 0.010 0.333 0.085 1
Ti3 0.010 0.337 0.584 1
Ti4 0.010 0.665 0.420 1
Ti5 0.012 0.668 0.915 1
Ti6 0.012 0.997 0.751 1
Ti7 0.511 0.835 0.083 1
Ti8 0.512 0.166 0.917 1
Ti9 0.512 0.167 0.418 1
Ti10 0.512 0.500 0.252 1
Ti11 0.512 0.503 0.750 1
Ti12 0.512 0.831 0.586 1
O1 0.004 0.152 0.152 1
O2 0.005 0.811 0.812 1
O3 0.235 0.442 0.659 1
O4 0.235 0.731 0.515 1
O5 0.242 0.403 0.175 1
O6 0.242 0.768 0.991 1
O7 0.243 0.065 0.843 1
O8 0.243 0.100 0.327 1
O9 0.259 0.904 0.175 1
O10 0.260 0.265 0.995 1
O11 0.261 0.240 0.510 1
O12 0.261 0.600 0.330 1
O13 0.262 0.935 0.661 1
O14 0.263 0.569 0.844 1
O15 0.499 0.984 0.486 1
O16 0.500 0.318 0.818 1
O17 0.500 0.688 0.688 1
O18 0.501 0.019 0.019 1
O19 0.501 0.351 0.351 1
O20 0.501 0.653 0.152 1
O21 0.732 0.433 0.650 1
O22 0.732 0.721 0.506 1
O23 0.734 0.392 0.170 1
O24 0.735 0.095 0.318 1
O25 0.736 0.055 0.837 1
O26 0.736 0.764 0.983 1
O27 0.762 0.230 0.502 1
O28 0.762 0.257 0.987 1
O29 0.762 0.591 0.321 1
O30 0.763 0.897 0.168 1
O31 0.765 0.562 0.833 1
O32 0.765 0.924 0.653 1
O33 0.995 0.513 0.012 1
O34 0.996 0.181 0.680 1
O35 0.996 0.846 0.348 1
O36 0.999 0.483 0.483 1
```

Largest 10 diffraction maxima, low angle first, 2θ from 15° to 90°:
| (hkl) | 2theta | I_rel |
| --- | --- | --- |
| 2 0 0 | 32.20 | 49 |
| 1 1 -4 | 32.30 | 100 |
| 2 2 -2 | 39.80 | 26 |
| 2 2 4 | 46.10 | 21 |
| -2 2 4 | 46.28 | 21 |
| 0 4 -4 | 46.47 | 20 |
| -1 5 4 | 57.48 | 20 |
| 0 6 0 | 57.61 | 19 |
| 4 0 0 | 67.50 | 17 |
| 2 2 -8 | 67.67 | 11 |